Cd4Rh: theoretical powder XRD pattern (CuKα), based on a GGA-PBE-relaxed structure.
Intensities are scaled so that the largest is 100.

Most intense lines, 2θ from 5° to 70°, low angle first:
Position (°2θ)  d (Å)  I/Imax
21.6  4.111  49
30.8  2.907  22
33.8  2.651  100
35.2  2.549  96
40.5  2.225  49
41.7  2.166  63
43.5  2.080  24
44.1  2.056  19
54.2  1.692  23
57.6  1.600  30

Crystal structure
Cell lengths 6.7698, 6.7698, 6.7698 Å; angles 105.21, 105.21, 118.38 degrees
Atoms (fractional coordinates):
Cd1 0.2102 0.2785 0.5684
Cd2 0.2102 0.6418 0.9316
Cd3 0.2785 0.2102 0.0684
Cd4 0.3582 0.7898 0.5684
Cd5 0.6418 0.2102 0.4316
Cd6 0.7215 0.7898 0.9316
Cd7 0.7898 0.3582 0.0684
Cd8 0.7898 0.7215 0.4316
Rh1 0.1250 0.8750 0.2500
Rh2 0.8750 0.1250 0.7500

=====

KYNb6Cl18: theoretical powder XRD pattern (CuKα), based on a GGA-PBE-relaxed structure.
Intensities are scaled so that the largest is 100.

Most intense lines, 2θ from 5° to 70°, low angle first:
Position (°2θ)  d (Å)  I/Imax
10.3  8.600  24
11.2  7.888  45
12.7  6.971  100
21.3  4.180  13
33.5  2.677  46
37.7  2.387  14
38.8  2.324  11
40.1  2.247  26
50.5  1.808  18
54.8  1.676  11

Crystal structure
Cell lengths 10.2206, 10.2206, 10.2206 Å; angles 55.81, 55.81, 55.81 degrees
Atoms (fractional coordinates):
K1 0.0000 0.0000 0.0000
Y1 0.7229 0.7229 0.7229
Nb1 0.0245 0.1315 0.3704
Nb2 0.0731 0.4183 0.3131
Nb3 0.1315 0.3704 0.0245
Nb4 0.3131 0.0731 0.4183
Nb5 0.3704 0.0245 0.1315
Nb6 0.4183 0.3131 0.0731
Cl1 0.0163 0.5600 0.7673
Cl2 0.0937 0.9429 0.6313
Cl3 0.1536 0.2792 0.5612
Cl4 0.1642 0.8825 0.2899
Cl5 0.2792 0.5612 0.1536
Cl6 0.2899 0.1642 0.8825
Cl7 0.3499 0.4999 0.8136
Cl8 0.4226 0.8822 0.6823
Cl9 0.4999 0.8136 0.3499
Cl10 0.5600 0.7673 0.0163
Cl11 0.5612 0.1536 0.2792
Cl12 0.6313 0.0937 0.9429
Cl13 0.6823 0.4226 0.8822
Cl14 0.7673 0.0163 0.5600
Cl15 0.8136 0.3499 0.4999
Cl16 0.8822 0.6823 0.4226
Cl17 0.8825 0.2899 0.1642
Cl18 0.9429 0.6313 0.0937

=====

AlAg: theoretical powder XRD pattern (CuKα), based on a GGA-PBE-relaxed structure.
Intensities are scaled so that the largest is 100.

Most intense lines, 2θ from 5° to 70°, low angle first:
Position (°2θ)  d (Å)  I/Imax
15.0  5.926  42
25.0  3.556  19
34.9  2.573  19
36.8  2.440  19
37.4  2.403  100
40.6  2.222  26
44.4  2.038  60
53.1  1.723  8
62.4  1.487  21
66.9  1.399  16

Crystal structure
Cell lengths 17.8603, 17.8603, 17.8603 Å; angles 9.55, 9.55, 9.55 degrees
Atoms (fractional coordinates):
Al1 0.0632 0.0632 0.0632
Al2 0.1875 0.1875 0.1875
Al3 0.8125 0.8125 0.8125
Al4 0.9368 0.9368 0.9368
Ag1 0.3107 0.3107 0.3107
Ag2 0.4381 0.4381 0.4381
Ag3 0.5619 0.5619 0.5619
Ag4 0.6893 0.6893 0.6893

=====

Pr6Pt2Cl: theoretical powder XRD pattern (CuKα), based on a GGA-PBE-relaxed structure.
Intensities are scaled so that the largest is 100.

Most intense lines, 2θ from 5° to 70°, low angle first:
Position (°2θ)  d (Å)  I/Imax
28.3  3.157  74
29.0  3.083  62
29.8  2.997  100
30.3  2.951  48
30.7  2.915  62
31.4  2.852  62
31.9  2.810  61
34.0  2.637  55
35.0  2.566  74
38.3  2.351  53

Crystal structure
Cell lengths 6.8086, 7.5164, 12.3724 Å; angles 90.00, 121.59, 90.00 degrees
Atoms (fractional coordinates):
Pr1 0.0803 0.1885 0.4261
Pr2 0.0803 0.3115 0.9261
Pr3 0.2557 0.6634 0.4278
Pr4 0.2557 0.8366 0.9278
Pr5 0.4065 0.0394 0.2428
Pr6 0.4065 0.4606 0.7428
Pr7 0.5935 0.5394 0.2572
Pr8 0.5935 0.9606 0.7572
Pr9 0.7443 0.1634 0.0722
Pr10 0.7443 0.3366 0.5722
Pr11 0.9197 0.6885 0.0739
Pr12 0.9197 0.8115 0.5739
Pt1 0.1720 0.1219 0.7396
Pt2 0.1720 0.3781 0.2396
Pt3 0.8280 0.6219 0.7604
Pt4 0.8280 0.8781 0.2604
Cl1 0.5000 0.0000 0.5000
Cl2 0.5000 0.5000 0.0000

=====

U2Zn16Sn: theoretical powder XRD pattern (CuKα), based on a GGA-PBE-relaxed structure.
Intensities are scaled so that the largest is 100.

Most intense lines, 2θ from 5° to 70°, low angle first:
Position (°2θ)  d (Å)  I/Imax
19.4  4.583  14
28.2  3.159  36
33.9  2.646  53
35.6  2.524  25
39.3  2.292  59
39.8  2.262  100
40.8  2.211  21
41.4  2.182  40
58.4  1.580  17
64.6  1.442  19

Crystal structure
Cell lengths 6.8577, 6.8577, 6.8577 Å; angles 83.87, 83.87, 83.87 degrees
Atoms (fractional coordinates):
U1 0.0000 0.0000 0.0000
U2 0.3216 0.3216 0.3216
Zn1 0.0144 0.0144 0.4836
Zn2 0.0144 0.4836 0.0144
Zn3 0.1746 0.6499 0.6499
Zn4 0.3102 0.3102 0.8244
Zn5 0.3102 0.8244 0.3102
Zn6 0.3473 0.6595 0.9689
Zn7 0.3473 0.9689 0.6595
Zn8 0.4836 0.0144 0.0144
Zn9 0.5534 0.5534 0.5534
Zn10 0.6499 0.1746 0.6499
Zn11 0.6499 0.6499 0.1746
Zn12 0.6595 0.3473 0.9689
Zn13 0.6595 0.9689 0.3473
Zn14 0.8244 0.3102 0.3102
Zn15 0.9689 0.3473 0.6595
Zn16 0.9689 0.6595 0.3473
Sn1 0.7602 0.7602 0.7602

=====

Li2Pd3Au7: theoretical powder XRD pattern (CuKα), based on a GGA-PBE-relaxed structure.
Intensities are scaled so that the largest is 100.

Most intense lines, 2θ from 5° to 70°, low angle first:
Position (°2θ)  d (Å)  I/Imax
19.8  4.482  13
22.6  3.942  27
30.4  2.943  17
31.2  2.864  12
38.2  2.359  100
38.9  2.317  96
44.1  2.053  68
46.0  1.971  30
50.1  1.821  14
65.7  1.422  41

Crystal structure
Cell lengths 9.6720, 9.2848, 4.8728 Å; angles 79.56, 70.74, 29.70 degrees
Atoms (fractional coordinates):
Li1 0.1676 0.1676 0.8324
Li2 0.8324 0.8324 0.1676
Pd1 0.0000 0.0000 0.0000
Pd2 0.3323 0.3323 0.6677
Pd3 0.6677 0.6677 0.3323
Au1 0.0869 0.0869 0.4131
Au2 0.2500 0.2500 0.2500
Au3 0.4131 0.4131 0.0869
Au4 0.5000 0.5000 0.5000
Au5 0.5869 0.5869 0.9131
Au6 0.7500 0.7500 0.7500
Au7 0.9131 0.9131 0.5869

=====

Pm6ErO12: theoretical powder XRD pattern (CuKα), based on a GGA-PBE-relaxed structure.
Intensities are scaled so that the largest is 100.

Most intense lines, 2θ from 5° to 70°, low angle first:
Position (°2θ)  d (Å)  I/Imax
27.7  3.217  34
27.9  3.196  100
32.3  2.772  44
46.2  1.965  31
46.4  1.956  30
54.7  1.677  14
54.9  1.671  25
55.1  1.668  14
57.7  1.598  10
67.6  1.386  8

Crystal structure
Cell lengths 6.7856, 6.7856, 6.7856 Å; angles 99.37, 99.37, 99.37 degrees
Atoms (fractional coordinates):
Pm1 0.1084 0.6372 0.7939
Pm2 0.2061 0.8916 0.3628
Pm3 0.3628 0.2061 0.8916
Pm4 0.6372 0.7939 0.1084
Pm5 0.7939 0.1084 0.6372
Pm6 0.8916 0.3628 0.2061
Er1 0.5000 0.5000 0.5000
O1 0.0587 0.3218 0.9184
O2 0.0816 0.9413 0.6782
O3 0.1826 0.5623 0.4379
O4 0.3218 0.9184 0.0587
O5 0.4379 0.1826 0.5623
O6 0.4377 0.5621 0.8174
O7 0.5623 0.4379 0.1826
O8 0.5621 0.8174 0.4377
O9 0.6782 0.0816 0.9413
O10 0.8174 0.4377 0.5621
O11 0.9184 0.0587 0.3218
O12 0.9413 0.6782 0.0816

=====

PrNd4Tm3: theoretical powder XRD pattern (CuKα), based on a GGA-PBE-relaxed structure.
Intensities are scaled so that the largest is 100.

Most intense lines, 2θ from 5° to 70°, low angle first:
Position (°2θ)  d (Å)  I/Imax
28.1  3.175  23
28.2  3.162  12
30.8  2.902  37
32.1  2.785  100
32.2  2.776  49
42.2  2.140  24
49.9  1.828  19
55.7  1.651  31
59.8  1.547  22
60.5  1.531  16

Crystal structure
Cell lengths 11.6067, 7.3412, 6.3234 Å; angles 90.00, 90.00, 90.00 degrees
Atoms (fractional coordinates):
Pr1 0.0000 0.1258 0.0000
Pr2 0.5000 0.8742 0.5000
Nd1 0.0000 0.3703 0.5058
Nd2 0.0000 0.6303 0.9917
Nd3 0.2442 0.6257 0.3342
Nd4 0.2558 0.3743 0.8342
Nd5 0.5000 0.3697 0.4917
Nd6 0.5000 0.6297 0.0058
Nd7 0.7442 0.3743 0.8342
Nd8 0.7558 0.6257 0.3342
Tm1 0.0000 0.8799 0.4985
Tm2 0.2499 0.1203 0.3326
Tm3 0.2501 0.8797 0.8326
Tm4 0.5000 0.1201 0.9985
Tm5 0.7501 0.1203 0.3326
Tm6 0.7499 0.8797 0.8326

=====

Ac3La2Nd4: theoretical powder XRD pattern (CuKα), based on a GGA-PBE-relaxed structure.
Intensities are scaled so that the largest is 100.

Most intense lines, 2θ from 5° to 70°, low angle first:
Position (°2θ)  d (Å)  I/Imax
28.8  3.103  100
33.2  2.701  17
33.3  2.691  17
33.5  2.671  17
47.7  1.906  13
47.8  1.901  7
48.0  1.896  19
56.6  1.626  15
56.8  1.622  15
57.1  1.613  11

Crystal structure
Cell lengths 5.4014, 8.4511, 8.5012 Å; angles 107.29, 90.02, 108.52 degrees
Atoms (fractional coordinates):
Ac1 0.0000 0.0000 0.0000
Ac2 0.4431 0.8866 0.6658
Ac3 0.5569 0.1134 0.3342
La1 0.2241 0.4488 0.3305
La2 0.7759 0.5512 0.6695
Nd1 0.1144 0.2289 0.6685
Nd2 0.3299 0.6594 0.0021
Nd3 0.6701 0.3406 0.9979
Nd4 0.8856 0.7711 0.3315

=====

Ga6Sn: theoretical powder XRD pattern (CuKα), based on a GGA-PBE-relaxed structure.
Intensities are scaled so that the largest is 100.

Most intense lines, 2θ from 5° to 70°, low angle first:
Position (°2θ)  d (Å)  I/Imax
29.9  2.992  29
32.1  2.790  39
34.2  2.623  100
35.5  2.529  41
37.5  2.401  43
40.3  2.239  33
41.8  2.163  22
44.4  2.042  72
46.0  1.971  17
62.0  1.496  19

Crystal structure
Cell lengths 8.6492, 5.9839, 11.0006 Å; angles 90.00, 90.00, 90.00 degrees
Atoms (fractional coordinates):
Ga1 0.0420 0.2500 0.0190
Ga2 0.1027 0.0116 0.8011
Ga3 0.1027 0.4884 0.8011
Ga4 0.1225 0.7500 0.3244
Ga5 0.1356 0.2500 0.2884
Ga6 0.1409 0.7500 0.5697
Ga7 0.3591 0.2500 0.0697
Ga8 0.3644 0.7500 0.7884
Ga9 0.3775 0.2500 0.8244
Ga10 0.3973 0.5116 0.3011
Ga11 0.3973 0.9884 0.3011
Ga12 0.4580 0.7500 0.5190
Ga13 0.5420 0.2500 0.4810
Ga14 0.6027 0.0116 0.6989
Ga15 0.6027 0.4884 0.6989
Ga16 0.6225 0.7500 0.1756
Ga17 0.6356 0.2500 0.2116
Ga18 0.6409 0.7500 0.9303
Ga19 0.8591 0.2500 0.4303
Ga20 0.8644 0.7500 0.7116
Ga21 0.8775 0.2500 0.6756
Ga22 0.8973 0.5116 0.1989
Ga23 0.8973 0.9884 0.1989
Ga24 0.9580 0.7500 0.9810
Sn1 0.2025 0.2500 0.5517
Sn2 0.2975 0.7500 0.0517
Sn3 0.7025 0.2500 0.9483
Sn4 0.7975 0.7500 0.4483

=====

Tb3Tm6Pu: theoretical powder XRD pattern (CuKα), based on a GGA-PBE-relaxed structure.
Intensities are scaled so that the largest is 100.

Most intense lines, 2θ from 5° to 70°, low angle first:
Position (°2θ)  d (Å)  I/Imax
31.3  2.855  100
31.4  2.849  33
36.3  2.474  45
36.4  2.466  22
52.2  1.752  8
52.4  1.746  40
62.2  1.493  19
62.3  1.490  19
62.4  1.488  19
65.5  1.425  8

Crystal structure
Cell lengths 6.0501, 6.0616, 9.2397 Å; angles 102.48, 109.08, 99.82 degrees
Atoms (fractional coordinates):
Tb1 0.0000 0.0000 0.0000
Tb2 0.3979 0.9932 0.7968
Tb3 0.6021 0.0068 0.2032
Tm1 0.1955 0.9990 0.4017
Tm2 0.1992 0.4991 0.8965
Tm3 0.3991 0.5018 0.3034
Tm4 0.6009 0.4982 0.6966
Tm5 0.8008 0.5009 0.1035
Tm6 0.8045 0.0010 0.5983
Pu1 0.0000 0.5000 0.5000

=====

CaPm8Tm4: theoretical powder XRD pattern (CuKα), based on a GGA-PBE-relaxed structure.
Intensities are scaled so that the largest is 100.

Most intense lines, 2θ from 5° to 70°, low angle first:
Position (°2θ)  d (Å)  I/Imax
30.3  2.951  100
35.1  2.559  34
35.2  2.547  17
50.4  1.809  18
50.6  1.805  18
59.9  1.544  14
60.0  1.542  14
60.2  1.537  14
62.9  1.477  6
63.1  1.474  6

Crystal structure
Cell lengths 6.2547, 6.2547, 14.8995 Å; angles 93.70, 93.70, 48.26 degrees
Atoms (fractional coordinates):
Ca1 0.0000 0.0000 0.0000
Pm1 0.0760 0.0760 0.7651
Pm2 0.2341 0.2341 0.3105
Pm3 0.3067 0.3067 0.0807
Pm4 0.4601 0.4601 0.6140
Pm5 0.5399 0.5399 0.3860
Pm6 0.6933 0.6933 0.9193
Pm7 0.7659 0.7659 0.6895
Pm8 0.9240 0.9240 0.2349
Tm1 0.1520 0.1520 0.5370
Tm2 0.3788 0.3788 0.8404
Tm3 0.6212 0.6212 0.1596
Tm4 0.8480 0.8480 0.4630